The following is a theoretical powder diffraction line list of Nb2SbO6. It was derived from a crystal structure in the Materials Project, relaxed with GGA-PBE, using Cu Kα (weighted mean of Kα1 and Kα2).

Main lines, by angle (15° ≤ 2θ ≤ 90°):
two_theta  intensity
24.2  25
28.2  93
28.6  100
31.3  39
31.8  18
48.1  24
52.2  22
54.3  27

Structure:
Unit cell a=8.949 b=8.949 c=5.629 alpha=91.17 beta=91.17 gamma=32.73
Positions (direct):
Nb (0.072, 0.582, 0.829)
Nb (0.418, 0.928, 0.671)
Nb (0.582, 0.072, 0.329)
Nb (0.928, 0.418, 0.171)
Sb (0.307, 0.693, 0.250)
Sb (0.693, 0.307, 0.750)
O (0.096, 0.181, 0.429)
O (0.181, 0.096, 0.929)
O (0.216, 0.345, 0.151)
O (0.345, 0.216, 0.651)
O (0.353, 0.514, 0.919)
O (0.486, 0.647, 0.581)
O (0.514, 0.353, 0.419)
O (0.647, 0.486, 0.081)
O (0.655, 0.784, 0.349)
O (0.784, 0.655, 0.849)
O (0.819, 0.904, 0.071)
O (0.904, 0.819, 0.571)